1.
Diffraction record for Cs2CdNiP2. The powder X-ray diffraction pattern is simulated, not measured: it uses a crystal structure in OQMD, relaxed with GGA-PBE and CuKα.
Neutral-atom scattering factors, no anomalous dispersion.

Cell lengths 4.2540, 4.2540, 11.6246 Å; angles 90.00, 90.00, 90.00 degrees
Fractional positions:
Cs 0.0000 0.5000 0.2292
Cs 0.5000 0.0000 0.7708
Cd 0.5000 0.5000 0.5000
Ni 0.0000 0.0000 0.5000
P 0.0000 0.5000 0.6140
P 0.5000 0.0000 0.3860

Most intense lines, 15° ≤ 2θ ≤ 90°, in order of falling intensity:
- 2θ = 33.5°, 2.671 Å, I 100
- 2θ = 22.3°, 3.995 Å, I 78
- 2θ = 31.2°, 2.865 Å, I 60
- 2θ = 30.7°, 2.909 Å, I 41
- 2θ = 42.5°, 2.127 Å, I 36
- 2θ = 49.6°, 1.840 Å, I 28
- 2θ = 53.7°, 1.708 Å, I 25
- 2θ = 23.0°, 3.875 Å, I 22
- 2θ = 26.0°, 3.433 Å, I 21
- 2θ = 72.1°, 1.311 Å, I 21
- 2θ = 48.5°, 1.877 Å, I 20
- 2θ = 56.5°, 1.629 Å, I 18

=====

2.
Diffraction record for Cs6Cd2O5. The powder X-ray diffraction pattern is simulated, not measured: it uses a crystal structure in OQMD, relaxed with GGA-PBE and CuKα.
Neutral-atom scattering factors, no anomalous dispersion.

Cell lengths 7.3645, 7.3645, 7.4641 Å; angles 91.17, 91.17, 117.85 degrees
Fractional positions:
Cs 0.0000 0.0000 0.0000
Cs 0.2953 0.2953 0.6380
Cs 0.4021 0.8770 0.3243
Cs 0.4292 0.8467 0.8188
Cs 0.8467 0.4292 0.8188
Cs 0.8770 0.4021 0.3243
Cd 0.4280 0.4280 0.1467
Cd 0.8456 0.8456 0.5138
O 0.1072 0.8172 0.5961
O 0.1765 0.4593 0.0357
O 0.4593 0.1765 0.0357
O 0.5826 0.5826 0.3945
O 0.8172 0.1072 0.5961

Most intense lines, 15° ≤ 2θ ≤ 90°, in order of falling intensity:
- 2θ = 27.8°, 3.210 Å, I 100
- 2θ = 27.4°, 3.254 Å, I 92
- 2θ = 28.3°, 3.154 Å, I 54
- 2θ = 27.2°, 3.282 Å, I 52
- 2θ = 34.4°, 2.610 Å, I 33
- 2θ = 34.6°, 2.594 Å, I 26
- 2θ = 44.7°, 2.026 Å, I 24
- 2θ = 33.0°, 2.715 Å, I 23
- 2θ = 30.3°, 2.946 Å, I 22
- 2θ = 24.2°, 3.679 Å, I 20
- 2θ = 45.1°, 2.011 Å, I 19
- 2θ = 51.4°, 1.777 Å, I 16

=====

3.
Diffraction record for CsCdP3O9. The powder X-ray diffraction pattern is simulated, not measured: it uses a crystal structure in OQMD, relaxed with GGA-PBE and CuKα.
Neutral-atom scattering factors, no anomalous dispersion.

Cell lengths 9.3279, 7.5072, 12.6671 Å; angles 90.00, 90.00, 90.00 degrees
Fractional positions:
Cs 0.1247 0.2500 0.0835
Cs 0.3753 0.7500 0.5835
Cs 0.6247 0.2500 0.4165
Cs 0.8753 0.7500 0.9165
Cd 0.0171 0.7500 0.2172
Cd 0.4829 0.2500 0.7172
Cd 0.5171 0.7500 0.2828
Cd 0.9829 0.2500 0.7828
P 0.1953 0.2500 0.5395
P 0.2457 0.0516 0.3512
P 0.2457 0.4484 0.3512
P 0.2543 0.5516 0.8512
P 0.2543 0.9484 0.8512
P 0.3047 0.7500 0.0395
P 0.6953 0.2500 0.9605
P 0.7457 0.0516 0.1488
P 0.7457 0.4484 0.1488
P 0.7543 0.5516 0.6488
P 0.7543 0.9484 0.6488
P 0.8047 0.7500 0.4605
O 0.0866 0.2500 0.6243
O 0.1213 0.0528 0.8742
O 0.1213 0.4472 0.8742
O 0.1430 0.5090 0.2684
O 0.1430 0.9910 0.2684
O 0.1469 0.7500 0.0620
O 0.1593 0.0838 0.4603
O 0.1593 0.4162 0.4603
O 0.2006 0.7500 0.8189
O 0.2994 0.2500 0.3189
O 0.3407 0.5838 0.9603
O 0.3407 0.9162 0.9603
O 0.3531 0.2500 0.5620
O 0.3570 0.0090 0.7684
O 0.3570 0.4910 0.7684
O 0.3787 0.5528 0.3742
O 0.3787 0.9472 0.3742
O 0.4134 0.7500 0.1243
O 0.5866 0.2500 0.8757
O 0.6213 0.0528 0.6258
O 0.6213 0.4472 0.6258
O 0.6430 0.5090 0.2316
O 0.6430 0.9910 0.2316
O 0.6469 0.7500 0.4380
O 0.6593 0.0838 0.0397
O 0.6593 0.4162 0.0397
O 0.7006 0.7500 0.6811
O 0.7994 0.2500 0.1811
O 0.8407 0.5838 0.5397
O 0.8407 0.9162 0.5397
O 0.8531 0.2500 0.9380
O 0.8570 0.0090 0.7316
O 0.8570 0.4910 0.7316
O 0.8787 0.5528 0.1258
O 0.8787 0.9472 0.1258
O 0.9134 0.7500 0.3757

Most intense lines, 15° ≤ 2θ ≤ 90°, in order of falling intensity:
- 2θ = 29.3°, 3.051 Å, I 100
- 2θ = 23.5°, 3.781 Å, I 99
- 2θ = 26.5°, 3.358 Å, I 82
- 2θ = 24.2°, 3.680 Å, I 77
- 2θ = 23.7°, 3.754 Å, I 76
- 2θ = 32.1°, 2.787 Å, I 75
- 2θ = 22.4°, 3.962 Å, I 57
- 2θ = 41.2°, 2.191 Å, I 37
- 2θ = 33.8°, 2.655 Å, I 36
- 2θ = 34.3°, 2.617 Å, I 36
- 2θ = 29.8°, 2.999 Å, I 31
- 2θ = 37.4°, 2.404 Å, I 30